This entry pairs a crystal structure of MgTe with its simulated X-ray diffraction stick pattern. Radiation: copper Kα. Structure: a structure optimized by DFT (PBE).
Neutral-atom scattering factors, no anomalous dispersion.

Structural model:
Cell: 4.2445 4.2445 6.8637 Å, 90.00 90.00 120.00°
Space group P6_3/mmc (No. 194)
Asymmetric unit:
Mg (0.0000, 0.0000, 0.0000)
Te (0.3333, 0.6667, 0.2500)

The 8 most intense peaks (2θ from 10° to 90°), low angle first:
| 2θ/deg | intensity |
| --- | --- |
| 26.0 | 16 |
| 27.5 | 100 |
| 35.8 | 33 |
| 42.6 | 30 |
| 46.8 | 23 |
| 50.6 | 16 |
| 51.5 | 17 |
| 69.0 | 14 |